Starting from a structure optimized by DFT (PBE), the XRD peak list of Ta2Mo6W3 was computed for Cu Kα (λ = 1.5418 Å).
No peak broadening, texture or thermal motion is included.

Structural model:
Unit cell a=2.6106 b=4.7140 c=29.8184 alpha=90.00 beta=90.00 gamma=90.00
Space group Immm (No. 71)
One atom of each set of equivalent atoms:
Ta 0.0000 0.0000 0.0465 [4 per cell]
Mo 0.0000 0.0000 0.2241 [4 per cell]
Mo 0.0000 0.5000 0.0962 [4 per cell]
Mo 0.0000 0.5000 0.3640 [4 per cell]
W 0.0000 0.0000 0.3142 [4 per cell]
W 0.0000 0.0000 0.5000 [2 per cell]

Peak list (10 most intense, 15 to 90 degrees two-theta, in order of rising 2θ)
2.357 Å, I 53, hkl 0 2 0; 2.350 Å, I 100, hkl 0 1 11; 2.284 Å, I 22, hkl 1 1 0; 2.226 Å, I 19, hkl 1 0 7; 2.184 Å, I 48, hkl 1 1 4; 1.947 Å, I 17, hkl 1 1 8; 1.880 Å, I 12, hkl 1 0 11; 1.618 Å, I 14, hkl 1 2 7; 1.359 Å, I 18, hkl 0 3 11; 1.141 Å, I 31, hkl 2 2 0